1.
Simulated powder XRD pattern of MgTe2Mo2WSe2S2 for Cu Ka, from the GGA-PBE geometry in the Materials Project.
Intensities are scaled so that the largest is 100.

Atomic structure:
abc: 3.349 3.351 36.412
angles: 89.80 89.92 60.02
Fractional coordinates of all 10 atoms:
Mg: 0.000 0.000 0.000
Te: 0.332 0.339 0.285
Te: 0.333 0.336 0.389
Mo: 0.332 0.340 0.111
Mo: 0.666 0.671 0.866
W: 0.666 0.671 0.337
Se: 0.332 0.336 0.912
Se: 0.332 0.339 0.821
S: 0.665 0.676 0.068
S: 0.666 0.671 0.152

Most intense lines, 2θ = 5–70°, in order of falling intensity:
- 9.72°, intensity 100
- 41.35°, intensity 20
- 30.82°, intensity 16
- 34.25°, intensity 15
- 54.81°, intensity 15
- 12.15°, intensity 13
- 39.75°, intensity 13
- 35.40°, intensity 12
- 32.39°, intensity 12
- 41.45°, intensity 10



2.
Simulated powder XRD pattern of K8Zr6BeBr20 for Cu Ka, from the GGA-PBE geometry in the Materials Project.
Intensities are scaled so that the largest is 100.

Atomic structure:
abc: 11.750 11.750 11.750
angles: 60.00 60.00 60.00
Fractional coordinates of all 35 atoms:
K: 0.140 0.140 0.140
K: 0.140 0.140 0.579
K: 0.140 0.579 0.140
K: 0.421 0.860 0.860
K: 0.579 0.140 0.140
K: 0.860 0.421 0.860
K: 0.860 0.860 0.421
K: 0.860 0.860 0.860
Zr: 0.356 0.356 0.644
Zr: 0.356 0.644 0.356
Zr: 0.356 0.644 0.644
Zr: 0.644 0.356 0.356
Zr: 0.644 0.356 0.644
Zr: 0.644 0.644 0.356
Be: 0.500 0.500 0.500
Br: 0.171 0.500 0.500
Br: 0.171 0.500 0.829
Br: 0.171 0.829 0.500
Br: 0.182 0.182 0.818
Br: 0.182 0.818 0.182
Br: 0.182 0.818 0.818
Br: 0.250 0.250 0.250
Br: 0.500 0.171 0.500
Br: 0.500 0.171 0.829
Br: 0.500 0.500 0.171
Br: 0.500 0.500 0.829
Br: 0.500 0.829 0.171
Br: 0.500 0.829 0.500
Br: 0.750 0.750 0.750
Br: 0.818 0.182 0.182
Br: 0.818 0.182 0.818
Br: 0.818 0.818 0.182
Br: 0.829 0.171 0.500
Br: 0.829 0.500 0.171
Br: 0.829 0.500 0.500

Most intense lines, 2θ = 5–70°, in order of falling intensity:
- 32.33°, intensity 100
- 46.37°, intensity 67
- 27.90°, intensity 63
- 9.22°, intensity 54
- 10.65°, intensity 34
- 31.86°, intensity 31
- 34.13°, intensity 27
- 54.98°, intensity 25
- 23.95°, intensity 21
- 18.50°, intensity 18



3.
Simulated powder XRD pattern of SrHfMg6O8 for Cu Ka, from the GGA-PBE geometry in the Materials Project.
Intensities are scaled so that the largest is 100.

Atomic structure:
abc: 4.515 4.515 8.967
angles: 90.00 90.00 90.00
Fractional coordinates of all 16 atoms:
Sr: 0.000 0.000 0.000
Hf: 0.500 0.500 0.000
Mg: 0.000 0.000 0.500
Mg: 0.000 0.500 0.268
Mg: 0.000 0.500 0.732
Mg: 0.500 0.000 0.268
Mg: 0.500 0.000 0.732
Mg: 0.500 0.500 0.500
O: 0.000 0.000 0.275
O: 0.000 0.000 0.725
O: 0.000 0.500 0.000
O: 0.000 0.500 0.500
O: 0.500 0.000 0.000
O: 0.500 0.000 0.500
O: 0.500 0.500 0.256
O: 0.500 0.500 0.744

Most intense lines, 2θ = 5–70°, in order of falling intensity:
- 9.86°, intensity 100
- 39.94°, intensity 60
- 34.49°, intensity 49
- 29.71°, intensity 42
- 57.98°, intensity 35
- 27.97°, intensity 31
- 19.80°, intensity 28
- 40.23°, intensity 28
- 57.76°, intensity 19
- 44.95°, intensity 16